1.
Starting from DFT lattice parameters and positions (PBE), the powder diffraction line list of KDy2CuTe4 was computed for Cu Kα, 1.54184 Å.
Neutral-atom scattering factors, no anomalous dispersion.

Main lines, sorted by position (10° ≤ 2θ ≤ 90°):
2θ/deg, I (rel.)
13.1, 64.8
26.0, 60.0
27.0, 31.6
27.7, 75.6
29.5, 100.0
31.3, 34.2
36.1, 29.3
40.0, 36.9
40.4, 76.8
41.2, 65.4

```
KDy2CuTe4
1.0
2.189 -7.519 0.000
2.189 7.519 0.000
0.000 0.000 15.433
K Dy Cu Te
2 4 2 8
direct
0.115 0.885 0.750
0.885 0.115 0.250
0.365 0.635 0.566
0.365 0.635 0.934
0.635 0.365 0.066
0.635 0.365 0.434
0.159 0.841 0.250
0.841 0.159 0.750
0.000 0.000 0.000
0.000 0.000 0.500
0.267 0.733 0.113
0.267 0.733 0.387
0.438 0.562 0.750
0.562 0.438 0.250
0.733 0.267 0.613
0.733 0.267 0.887
```

=====

2.
Starting from DFT lattice parameters and positions (PBE), the powder diffraction line list of LaDyCu4 was computed for Cu Kα, 1.54184 Å.
Neutral-atom scattering factors, no anomalous dispersion.

Main lines, sorted by position (10° ≤ 2θ ≤ 90°):
2θ/deg, I (rel.)
23.0, 10.6
28.5, 32.3
34.2, 100.0
37.0, 56.0
46.1, 35.8
47.2, 30.8
60.5, 25.7
67.2, 11.1
68.1, 19.7
77.6, 23.3

```
LaDyCu4
1.0
3.942 0.000 0.000
0.000 3.942 0.000
0.000 0.000 15.438
La Dy Cu
2 2 8
direct
0.000 0.000 0.000
0.500 0.500 0.500
0.000 0.500 0.250
0.500 0.000 0.750
0.000 0.000 0.417
0.000 0.000 0.583
0.000 0.500 0.672
0.000 0.500 0.828
0.500 0.000 0.172
0.500 0.000 0.328
0.500 0.500 0.083
0.500 0.500 0.917
```

=====

3.
Starting from DFT lattice parameters and positions (PBE), the powder diffraction line list of LaPrDyCu was computed for Cu Kα, 1.54184 Å.
Neutral-atom scattering factors, no anomalous dispersion.

Main lines, sorted by position (10° ≤ 2θ ≤ 90°):
2θ/deg, I (rel.)
26.7, 26.2
30.2, 17.8
31.9, 100.0
35.2, 53.3
39.4, 11.4
47.0, 21.1
50.6, 18.9
57.8, 14.8
61.1, 30.7
80.4, 11.5

```
LaPrDyCu
1.0
3.610 0.000 0.000
0.000 3.610 0.000
0.000 0.000 8.884
La Pr Dy Cu
1 1 1 1
direct
0.000 0.000 0.000
0.500 0.500 0.316
0.000 0.000 0.613
0.500 0.500 0.783
```

=====

4.
Starting from DFT lattice parameters and positions (PBE), the powder diffraction line list of LiDyCu10 was computed for Cu Kα, 1.54184 Å.
Neutral-atom scattering factors, no anomalous dispersion.

Main lines, sorted by position (10° ≤ 2θ ≤ 90°):
2θ/deg, I (rel.)
10.3, 28.6
30.2, 21.5
36.3, 21.4
42.2, 31.0
42.7, 100.0
44.3, 33.2
48.0, 30.8
62.8, 18.1
69.8, 21.2
77.2, 16.6

```
LiDyCu10
1.0
4.091 0.000 0.000
0.000 4.945 0.000
0.000 0.000 8.565
Li Dy Cu
1 1 10
direct
0.000 0.000 0.000
0.000 0.500 0.500
0.000 0.000 0.319
0.000 0.000 0.681
0.000 0.500 0.158
0.000 0.500 0.842
0.500 0.000 0.500
0.500 0.253 0.250
0.500 0.253 0.750
0.500 0.500 0.000
0.500 0.747 0.250
0.500 0.747 0.750
```

=====

5.
Starting from DFT lattice parameters and positions (PBE), the powder diffraction line list of Li2DyCu9 was computed for Cu Kα, 1.54184 Å.
Neutral-atom scattering factors, no anomalous dispersion.

Main lines, sorted by position (10° ≤ 2θ ≤ 90°):
2θ/deg, I (rel.)
15.1, 26.7
18.1, 23.8
23.6, 44.1
24.0, 25.3
35.6, 47.3
38.9, 100.0
42.9, 58.2
44.3, 47.8
45.0, 60.1
49.1, 23.1

```
Li2DyCu9
1.0
8.305 0.000 0.000
0.000 8.305 0.000
0.000 0.000 4.900
Li Dy Cu
4 2 18
direct
0.114 0.386 0.000
0.386 0.886 0.000
0.614 0.114 0.000
0.886 0.614 0.000
0.000 0.000 0.000
0.500 0.500 0.000
0.000 0.500 0.500
0.060 0.209 0.500
0.181 0.681 0.242
0.181 0.681 0.758
0.209 0.940 0.500
0.291 0.440 0.500
0.319 0.181 0.242
0.319 0.181 0.758
0.440 0.709 0.500
0.500 0.000 0.500
0.560 0.291 0.500
0.681 0.819 0.242
0.681 0.819 0.758
0.709 0.560 0.500
0.791 0.060 0.500
0.819 0.319 0.242
0.819 0.319 0.758
0.940 0.791 0.500
```

=====

6.
Starting from DFT lattice parameters and positions (PBE), the powder diffraction line list of LiDyCu2 was computed for Cu Kα, 1.54184 Å.
Neutral-atom scattering factors, no anomalous dispersion.

Main lines, sorted by position (10° ≤ 2θ ≤ 90°):
2θ/deg, I (rel.)
19.1, 76.0
33.1, 39.1
38.5, 100.0
38.7, 49.1
43.5, 18.4
51.8, 22.2
55.9, 16.4
69.4, 16.7
69.9, 32.6
82.4, 10.3

```
LiDyCu2
1.0
4.650 0.000 0.000
0.000 4.650 0.000
0.000 0.000 3.331
Li Dy Cu
1 1 2
direct
0.000 0.000 0.000
0.500 0.500 0.000
0.000 0.500 0.500
0.500 0.000 0.500
```